Record 1
Theoretical X-ray powder pattern
Compound: Li8Tl6Au
Radiation: Cu Kα, 1.54184 Å
Structure: DFT lattice parameters and positions (GGA-PBE)
Neutral-atom scattering factors, no anomalous dispersion.

Structure:
```
data_Li8Tl6Au
_chemical_formula_sum 'Li8 Tl6 Au1'
_space_group_name_H-M_alt 'P 1'
_space_group_IT_number 1
_cell_length_a 7.5004
_cell_length_b 7.5004
_cell_length_c 7.5004
_cell_angle_alpha 63.29
_cell_angle_beta 63.29
_cell_angle_gamma 63.29
loop_
_space_group_symop_operation_xyz
'x,y,z'
loop_
_atom_site_label
_atom_site_type_symbol
_atom_site_fract_x
_atom_site_fract_y
_atom_site_fract_z
Li1 Li 0.0905 0.0905 0.0905
Li2 Li 0.1658 0.6399 0.3377
Li3 Li 0.3377 0.1658 0.6399
Li4 Li 0.3601 0.6623 0.8342
Li5 Li 0.6399 0.3377 0.1658
Li6 Li 0.6623 0.8342 0.3601
Li7 Li 0.8342 0.3601 0.6623
Li8 Li 0.9095 0.9095 0.9095
Tl1 Tl 0.0330 0.5206 0.7764
Tl2 Tl 0.2236 0.9670 0.4794
Tl3 Tl 0.4794 0.2236 0.9670
Tl4 Tl 0.5206 0.7764 0.0330
Tl5 Tl 0.7764 0.0330 0.5206
Tl6 Tl 0.9670 0.4794 0.2236
Au1 Au 0.5000 0.5000 0.5000
```

Peak list (12 most intense, 5 to 70 degrees two-theta, in order of rising 2θ)
d_spacing  I_rel
5.967  75.9
3.741  29.7
3.285  100.0
3.185  29.0
2.550  65.7
2.476  33.8
2.378  57.4
2.272  18.1
2.233  16.0
2.091  28.1
1.689  16.4
1.558  16.6


Record 2
Theoretical X-ray powder pattern
Compound: Li6TlAu6
Radiation: Cu Kα, 1.54184 Å
Structure: DFT lattice parameters and positions (GGA-PBE)
Neutral-atom scattering factors, no anomalous dispersion.

Structure:
```
data_Li6TlAu6
_chemical_formula_sum 'Li6 Tl1 Au6'
_space_group_name_H-M_alt 'P 1'
_space_group_IT_number 1
_cell_length_a 5.5829
_cell_length_b 5.5829
_cell_length_c 8.9353
_cell_angle_alpha 90.00
_cell_angle_beta 90.00
_cell_angle_gamma 120.00
loop_
_space_group_symop_operation_xyz
'x,y,z'
loop_
_atom_site_label
_atom_site_type_symbol
_atom_site_fract_x
_atom_site_fract_y
_atom_site_fract_z
Li1 Li 0.0000 0.0000 0.1787
Li2 Li 0.0000 0.0000 0.8213
Li3 Li 0.3333 0.6667 0.0000
Li4 Li 0.3333 0.6667 0.5000
Li5 Li 0.6667 0.3333 0.0000
Li6 Li 0.6667 0.3333 0.5000
Tl1 Tl 0.0000 0.0000 0.5000
Au1 Au 0.0000 0.5000 0.2478
Au2 Au 0.0000 0.5000 0.7522
Au3 Au 0.5000 0.0000 0.2478
Au4 Au 0.5000 0.0000 0.7522
Au5 Au 0.5000 0.5000 0.2478
Au6 Au 0.5000 0.5000 0.7522
```

Peak list (12 most intense, 5 to 70 degrees two-theta, in order of rising 2θ)
d_spacing  I_rel
8.935  12.0
4.835  11.1
4.468  76.7
4.252  17.6
3.281  77.8
2.417  100.0
2.367  36.3
2.234  27.3
2.126  72.8
1.691  23.8
1.641  60.8
1.396  19.1


Record 3
Theoretical X-ray powder pattern
Compound: LiTm6Au5
Radiation: Cu Kα, 1.54184 Å
Structure: DFT lattice parameters and positions (GGA-PBE)
Neutral-atom scattering factors, no anomalous dispersion.

Structure:
```
data_LiTm6Au5
_chemical_formula_sum 'Li1 Tm6 Au5'
_space_group_name_H-M_alt 'P 1'
_space_group_IT_number 1
_cell_length_a 8.7637
_cell_length_b 8.7637
_cell_length_c 8.7637
_cell_angle_alpha 146.97
_cell_angle_beta 132.04
_cell_angle_gamma 59.47
loop_
_space_group_symop_operation_xyz
'x,y,z'
loop_
_atom_site_label
_atom_site_type_symbol
_atom_site_fract_x
_atom_site_fract_y
_atom_site_fract_z
Li1 Li 0.0000 0.0000 0.0000
Tm1 Tm 0.0831 0.8307 0.2524
Tm2 Tm 0.2593 0.5000 0.7593
Tm3 Tm 0.4217 0.1693 0.2524
Tm4 Tm 0.5783 0.8307 0.7476
Tm5 Tm 0.7407 0.5000 0.2407
Tm6 Tm 0.9169 0.1693 0.7476
Au1 Au 0.1478 0.6478 0.5000
Au2 Au 0.3290 0.3290 0.0000
Au3 Au 0.5000 0.0000 0.5000
Au4 Au 0.6710 0.6710 0.0000
Au5 Au 0.8522 0.3522 0.5000
```

Peak list (12 most intense, 5 to 70 degrees two-theta, in order of rising 2θ)
d_spacing  I_rel
6.452  3.5
3.598  4.8
2.799  4.1
2.537  23.7
2.516  100.0
2.491  25.0
1.781  9.2
1.777  16.5
1.461  15.3
1.458  8.6
1.449  9.4
1.443  18.1


Record 4
Theoretical X-ray powder pattern
Compound: Li3TmAu4
Radiation: Cu Kα, 1.54184 Å
Structure: DFT lattice parameters and positions (GGA-PBE)
Neutral-atom scattering factors, no anomalous dispersion.

Structure:
```
data_Li3TmAu4
_chemical_formula_sum 'Li6 Tm2 Au8'
_space_group_name_H-M_alt 'P 1'
_space_group_IT_number 1
_cell_length_a 6.6283
_cell_length_b 6.6283
_cell_length_c 6.6283
_cell_angle_alpha 90.00
_cell_angle_beta 90.00
_cell_angle_gamma 90.00
loop_
_space_group_symop_operation_xyz
'x,y,z'
loop_
_atom_site_label
_atom_site_type_symbol
_atom_site_fract_x
_atom_site_fract_y
_atom_site_fract_z
Li1 Li 0.0000 0.0000 0.5000
Li2 Li 0.0000 0.5000 0.0000
Li3 Li 0.0000 0.5000 0.5000
Li4 Li 0.5000 0.0000 0.0000
Li5 Li 0.5000 0.0000 0.5000
Li6 Li 0.5000 0.5000 0.0000
Tm1 Tm 0.0000 0.0000 0.0000
Tm2 Tm 0.5000 0.5000 0.5000
Au1 Au 0.2500 0.2500 0.2500
Au2 Au 0.2500 0.2500 0.7500
Au3 Au 0.2500 0.7500 0.2500
Au4 Au 0.2500 0.7500 0.7500
Au5 Au 0.7500 0.2500 0.2500
Au6 Au 0.7500 0.2500 0.7500
Au7 Au 0.7500 0.7500 0.2500
Au8 Au 0.7500 0.7500 0.7500
```

Peak list (12 most intense, 5 to 70 degrees two-theta, in order of rising 2θ)
d_spacing  I_rel
4.687  16.3
3.314  48.7
2.706  8.3
2.343  100.0
2.096  4.0
1.913  14.4
1.771  4.8
1.657  17.5
1.562  2.4
1.482  19.1
1.413  1.1
1.353  35.9


Record 5
Theoretical X-ray powder pattern
Compound: LiTm3Au2
Radiation: Cu Kα, 1.54184 Å
Structure: DFT lattice parameters and positions (GGA-PBE)
Neutral-atom scattering factors, no anomalous dispersion.

Structure:
```
data_LiTm3Au2
_chemical_formula_sum 'Li2 Tm6 Au4'
_space_group_name_H-M_alt 'P 1'
_space_group_IT_number 1
_cell_length_a 5.0066
_cell_length_b 5.0066
_cell_length_c 12.4920
_cell_angle_alpha 90.00
_cell_angle_beta 90.00
_cell_angle_gamma 120.00
loop_
_space_group_symop_operation_xyz
'x,y,z'
loop_
_atom_site_label
_atom_site_type_symbol
_atom_site_fract_x
_atom_site_fract_y
_atom_site_fract_z
Li1 Li 0.3333 0.6667 0.1740
Li2 Li 0.6667 0.3333 0.8260
Tm1 Tm 0.0000 0.0000 0.2566
Tm2 Tm 0.0000 0.0000 0.7434
Tm3 Tm 0.3333 0.6667 0.4222
Tm4 Tm 0.3333 0.6667 0.9205
Tm5 Tm 0.6667 0.3333 0.0795
Tm6 Tm 0.6667 0.3333 0.5778
Au1 Au 0.0000 0.0000 0.0000
Au2 Au 0.0000 0.0000 0.5000
Au3 Au 0.3333 0.6667 0.6898
Au4 Au 0.6667 0.3333 0.3102
```

Peak list (12 most intense, 5 to 70 degrees two-theta, in order of rising 2θ)
d_spacing  I_rel
12.492  9.4
4.164  5.2
4.096  21.2
3.562  9.1
2.534  93.2
2.503  100.0
2.145  5.6
1.953  6.8
1.781  32.9
1.469  17.1
1.451  34.7
1.445  18.1


Record 6
Theoretical X-ray powder pattern
Compound: Li5Tm4Au6
Radiation: Cu Kα, 1.54184 Å
Structure: DFT lattice parameters and positions (GGA-PBE)
Neutral-atom scattering factors, no anomalous dispersion.

Structure:
```
data_Li5Tm4Au6
_chemical_formula_sum 'Li10 Tm8 Au12'
_space_group_name_H-M_alt 'P 1'
_space_group_IT_number 1
_cell_length_a 10.8346
_cell_length_b 10.8346
_cell_length_c 14.4405
_cell_angle_alpha 90.00
_cell_angle_beta 90.00
_cell_angle_gamma 158.38
loop_
_space_group_symop_operation_xyz
'x,y,z'
loop_
_atom_site_label
_atom_site_type_symbol
_atom_site_fract_x
_atom_site_fract_y
_atom_site_fract_z
Li1 Li 0.0477 0.9523 0.5000
Li2 Li 0.1528 0.8472 0.8151
Li3 Li 0.1781 0.8219 0.0981
Li4 Li 0.1876 0.8124 0.4454
Li5 Li 0.3215 0.6785 0.4589
Li6 Li 0.6785 0.3215 0.9589
Li7 Li 0.8124 0.1876 0.9454
Li8 Li 0.8219 0.1781 0.5981
Li9 Li 0.8472 0.1528 0.3151
Li10 Li 0.9523 0.0477 0.0000
Tm1 Tm 0.3227 0.6773 0.7728
Tm2 Tm 0.3598 0.6402 0.1260
Tm3 Tm 0.4570 0.5430 0.6126
Tm4 Tm 0.4771 0.5229 0.3449
Tm5 Tm 0.5229 0.4771 0.8449
Tm6 Tm 0.5430 0.4570 0.1126
Tm7 Tm 0.6402 0.3598 0.6260
Tm8 Tm 0.6773 0.3227 0.2728
Au1 Au 0.0511 0.9489 0.6939
Au2 Au 0.0791 0.9209 0.2585
Au3 Au 0.0814 0.9186 0.9707
Au4 Au 0.2403 0.7597 0.6121
Au5 Au 0.2724 0.7276 0.2855
Au6 Au 0.3987 0.6013 0.9342
Au7 Au 0.6013 0.3987 0.4342
Au8 Au 0.7276 0.2724 0.7855
Au9 Au 0.7597 0.2403 0.1121
Au10 Au 0.9186 0.0814 0.4707
Au11 Au 0.9209 0.0791 0.7585
Au12 Au 0.9489 0.0511 0.1939
```

Peak list (12 most intense, 5 to 70 degrees two-theta, in order of rising 2θ)
d_spacing  I_rel
10.642  25.1
7.220  39.2
3.423  45.5
3.072  29.7
2.880  28.5
2.722  24.6
2.677  51.9
2.509  100.0
2.404  33.7
2.172  24.5
2.032  41.6
1.780  23.7


Record 7
Theoretical X-ray powder pattern
Compound: Li4UAu5
Radiation: Cu Kα, 1.54184 Å
Structure: DFT lattice parameters and positions (GGA-PBE)
Neutral-atom scattering factors, no anomalous dispersion.

Structure:
```
data_Li4UAu5
_chemical_formula_sum 'Li4 U1 Au5'
_space_group_name_H-M_alt 'P 1'
_space_group_IT_number 1
_cell_length_a 2.9802
_cell_length_b 3.4923
_cell_length_c 16.1622
_cell_angle_alpha 90.00
_cell_angle_beta 90.00
_cell_angle_gamma 90.00
loop_
_space_group_symop_operation_xyz
'x,y,z'
loop_
_atom_site_label
_atom_site_type_symbol
_atom_site_fract_x
_atom_site_fract_y
_atom_site_fract_z
Li1 Li 0.0000 0.0000 0.0921
Li2 Li 0.0000 0.0000 0.2752
Li3 Li 0.0000 0.0000 0.7248
Li4 Li 0.0000 0.0000 0.9079
U1 U 0.0000 0.0000 0.5000
Au1 Au 0.5000 0.5000 0.0000
Au2 Au 0.5000 0.5000 0.1844
Au3 Au 0.5000 0.5000 0.3677
Au4 Au 0.5000 0.5000 0.6323
Au5 Au 0.5000 0.5000 0.8156
```

Peak list (12 most intense, 5 to 70 degrees two-theta, in order of rising 2θ)
d_spacing  I_rel
16.162  47.7
3.492  56.4
3.232  22.2
2.980  37.9
2.931  29.9
2.694  36.0
2.372  74.4
2.267  100.0
2.191  59.3
1.746  22.8
1.734  40.4
1.366  29.5


Record 8
Theoretical X-ray powder pattern
Compound: LiW4Au
Radiation: Cu Kα, 1.54184 Å
Structure: DFT lattice parameters and positions (GGA-PBE)
Neutral-atom scattering factors, no anomalous dispersion.

Structure:
```
data_LiW4Au
_chemical_formula_sum 'Li1 W4 Au1'
_space_group_name_H-M_alt 'P 1'
_space_group_IT_number 1
_cell_length_a 5.2980
_cell_length_b 5.2980
_cell_length_c 5.2980
_cell_angle_alpha 60.00
_cell_angle_beta 60.00
_cell_angle_gamma 60.00
loop_
_space_group_symop_operation_xyz
'x,y,z'
loop_
_atom_site_label
_atom_site_type_symbol
_atom_site_fract_x
_atom_site_fract_y
_atom_site_fract_z
Li1 Li 0.0000 0.0000 0.0000
W1 W 0.1207 0.6264 0.6264
W2 W 0.6264 0.1207 0.6264
W3 W 0.6264 0.6264 0.1207
W4 W 0.6264 0.6264 0.6264
Au1 Au 0.2500 0.2500 0.2500
```

Peak list (10 most intense, 5 to 70 degrees two-theta, in order of rising 2θ)
d_spacing  I_rel
4.326  42.0
3.746  14.6
2.649  11.9
2.259  100.0
2.163  60.2
1.873  14.1
1.719  11.3
1.675  4.8
1.529  4.6
1.442  33.3